Calculated X-ray diffraction stick pattern
Compound: AcLa2Tm2
Radiation: Cu Kα, 1.54184 Å
Structure: DFT lattice parameters and positions (PBE)

Crystal structure
```
data_AcLa2Tm2
_space_group_name_H-M_alt 'C m c 21'
_space_group_IT_number 36
_space_group_name_Hall 'C 2c -2'
_cell_length_a 3.738
_cell_length_b 15.635
_cell_length_c 12.619
_cell_angle_alpha 90.00
_cell_angle_beta 90.00
_cell_angle_gamma 90.00
loop_
_atom_site_label
_atom_site_fract_x
_atom_site_fract_y
_atom_site_fract_z
_atom_site_occupancy
Ac1 0.000 0.127 0.000 1
La1 0.000 0.202 0.328 1
La2 0.000 0.485 0.239 1
Tm1 0.000 0.196 0.627 1
Tm2 0.000 0.433 0.982 1
```

Most intense lines, 10° ≤ 2θ ≤ 90°, in order of falling intensity:
2θ/deg	d_spacing	I (rel.)	(hkl)
32.6	2.751	100.0	1 1 3
29.4	3.038	96.0	1 3 0
30.3	2.953	85.9	1 3 1
26.8	3.323	52.3	0 4 2
31.2	2.863	50.0	0 4 3
30.6	2.926	47.6	0 2 4
35.2	2.552	41.3	0 6 1
49.7	1.835	33.2	1 7 2

Calculated X-ray diffraction stick pattern
Compound: HgP2S4
Radiation: Cu Kα, 1.54184 Å
Structure: DFT lattice parameters and positions (PBE)

Crystal structure
```
data_HgP2S4
_space_group_name_H-M_alt 'I 4/m'
_space_group_IT_number 87
_space_group_name_Hall '-I 4'
_cell_length_a 8.378
_cell_length_b 8.378
_cell_length_c 5.549
_cell_angle_alpha 90.00
_cell_angle_beta 90.00
_cell_angle_gamma 90.00
loop_
_atom_site_label
_atom_site_fract_x
_atom_site_fract_y
_atom_site_fract_z
_atom_site_occupancy
Hg1 0.000 0.000 0.000 1
P1 0.000 0.500 0.250 1
S1 0.064 0.310 0.500 1
```

Most intense lines, 10° ≤ 2θ ≤ 90°, in order of falling intensity:
2θ/deg	d_spacing	I (rel.)	(hkl)
28.8	3.105	100.0	2 1 1
21.2	4.189	49.2	2 0 0
19.2	4.626	44.8	1 0 1
47.5	1.916	33.5	1 3 2
35.7	2.512	18.2	1 1 2
57.5	1.604	17.5	5 0 1
33.8	2.649	17.4	1 3 0
42.2	2.143	15.7	2 3 1

Calculated X-ray diffraction stick pattern
Compound: Pm6Y2Al
Radiation: Cu Kα, 1.54184 Å
Structure: DFT lattice parameters and positions (PBE)

Crystal structure
```
data_Pm6Y2Al
_space_group_name_H-M_alt 'C 1 2/m 1'
_space_group_IT_number 12
_space_group_name_Hall '-C 2y'
_cell_length_a 17.422
_cell_length_b 9.515
_cell_length_c 3.579
_cell_angle_alpha 90.00
_cell_angle_beta 90.43
_cell_angle_gamma 90.00
loop_
_atom_site_label
_atom_site_fract_x
_atom_site_fract_y
_atom_site_fract_z
_atom_site_occupancy
Pm1 0.000 0.212 0.000 1
Pm2 0.163 0.330 0.498 1
Y1 0.177 0.000 0.995 1
Al1 0.000 0.500 0.500 1
```

Most intense lines, 10° ≤ 2θ ≤ 90°, in order of falling intensity:
2θ/deg	d_spacing	I (rel.)	(hkl)
32.2	2.782	100.0	3 3 0
30.8	2.905	70.9	6 0 0
27.0	3.298	26.5	2 0 1
32.9	2.722	25.6	2 2 -1
33.0	2.713	23.8	2 2 1
18.7	4.757	22.6	0 2 0
38.3	2.352	16.9	1 3 1
55.6	1.652	16.9	9 3 0

Calculated X-ray diffraction stick pattern
Compound: HfAg
Radiation: Cu Kα, 1.54184 Å
Structure: DFT lattice parameters and positions (PBE)

Crystal structure
```
data_HfAg
_space_group_name_H-M_alt 'P 4/n m m'
_space_group_IT_number 129
_cell_length_a 4.304
_cell_length_b 4.304
_cell_length_c 4.226
_cell_angle_alpha 90.00
_cell_angle_beta 90.00
_cell_angle_gamma 90.00
loop_
_space_group_symop_operation_xyz
'x,y,z'
'-x,-y,-z'
'-y+1/2,x,z'
'y+1/2,-x,-z'
'-x+1/2,-y+1/2,z'
'x+1/2,y+1/2,-z'
'y,-x+1/2,z'
'-y,x+1/2,-z'
'x+1/2,-y,-z'
'-x+1/2,y,z'
'-y,-x,-z'
'y,x,z'
'-x,y+1/2,-z'
'x,-y+1/2,z'
'y+1/2,x+1/2,-z'
'-y+1/2,-x+1/2,z'
loop_
_atom_site_label
_atom_site_fract_x
_atom_site_fract_y
_atom_site_fract_z
_atom_site_occupancy
Hf1 0.250 0.250 0.013 1
Ag1 0.250 0.750 0.500 1
```

Most intense lines, 10° ≤ 2θ ≤ 90°, in order of falling intensity:
2θ/deg	d_spacing	I (rel.)	(hkl)
36.4	2.470	100.0	1 1 1
42.0	2.152	33.6	2 0 0
73.0	1.296	25.5	3 1 1
61.5	1.508	21.0	2 0 2
42.8	2.113	15.6	0 0 2
74.2	1.278	11.8	1 1 3
60.9	1.522	11.0	2 2 0
77.3	1.235	10.8	2 2 2

Calculated X-ray diffraction stick pattern
Compound: Sm6Dy5Y2
Radiation: Cu Kα, 1.54184 Å
Structure: DFT lattice parameters and positions (PBE)

Crystal structure
```
data_Sm6Dy5Y2
_space_group_name_H-M_alt 'P b a m'
_space_group_IT_number 55
_space_group_name_Hall '-P 2 2ab'
_cell_length_a 11.719
_cell_length_b 20.444
_cell_length_c 3.609
_cell_angle_alpha 90.00
_cell_angle_beta 90.00
_cell_angle_gamma 90.00
loop_
_atom_site_label
_atom_site_fract_x
_atom_site_fract_y
_atom_site_fract_z
_atom_site_occupancy
Sm1 0.059 0.080 0.000 1
Sm2 0.081 0.367 0.000 1
Sm3 0.174 0.633 0.500 1
Dy1 0.000 0.500 0.500 1
Dy2 0.093 0.225 0.500 1
Dy3 0.199 0.946 0.500 1
Y1 0.166 0.789 0.000 1
```

Most intense lines, 10° ≤ 2θ ≤ 90°, in order of falling intensity:
2θ/deg	d_spacing	I (rel.)	(hkl)
31.9	2.801	100.0	2 3 1
31.6	2.834	66.8	1 7 0
30.8	2.900	54.4	4 1 0
31.3	2.859	49.8	1 4 1
34.0	2.634	36.1	2 4 1
31.7	2.821	31.5	3 5 0
36.4	2.471	27.7	3 3 1
60.9	1.522	27.6	1 7 2

Calculated X-ray diffraction stick pattern
Compound: HoPaNi17
Radiation: Cu Kα, 1.54184 Å
Structure: DFT lattice parameters and positions (PBE)

Crystal structure
```
data_HoPaNi17
_space_group_name_H-M_alt 'R 3 m'
_space_group_IT_number 160
_space_group_name_Hall 'R 3 -2"'
_cell_length_a 8.2520
_cell_length_b 8.2520
_cell_length_c 12.0635
_cell_angle_alpha 90.00
_cell_angle_beta 90.00
_cell_angle_gamma 120.00
loop_
_atom_site_label
_atom_site_fract_x
_atom_site_fract_y
_atom_site_fract_z
_atom_site_occupancy
Ho1 0.0000 0.0000 0.0000 1
Pa1 0.0000 0.0000 0.3255 1
Ni1 0.0000 0.0000 0.5594 1
Ni2 0.0000 0.0000 0.7601 1
Ni3 0.0371 0.3683 0.3293 1
Ni4 0.1671 0.3343 0.1493 1
Ni5 0.1681 0.3362 0.4969 1
Ni6 0.1691 0.3383 0.8421 1
```

Most intense lines, 10° ≤ 2θ ≤ 90°, in order of falling intensity:
2θ/deg	d_spacing	I (rel.)	(hkl)
44.2	2.050	100.0	0 3 3
43.9	2.063	59.0	2 2 0
45.1	2.011	45.7	0 0 6
37.8	2.382	44.6	3 0 0
31.1	2.880	43.2	1 1 3
64.7	1.440	25.2	2 2 6
39.1	2.305	25.1	0 2 4
64.1	1.454	22.0	4 1 3